# TbVO4
Computed powder diffraction line list, a wavelength of 1.5418 Å. Input: the GGA+U geometry in Alexandria.
Lines closer than 0.1° are merged.

The 12 most intense peaks (15° ≤ 2θ ≤ 90°), by angle:
2θ (°)  d/Å  I_rel  h k l
18.55  4.783  40.8  1 0 1
24.59  3.621  100.0  2 0 0
30.98  2.887  13.7  2 1 1
33.12  2.705  70.3  1 1 2
35.05  2.560  21.7  2 2 0
39.94  2.257  15.2  3 0 1
47.46  1.916  13.4  3 2 1
48.99  1.859  59.2  3 1 2
50.40  1.810  15.8  4 0 0
56.86  1.619  13.9  4 2 0
61.65  1.504  17.4  3 3 2
72.93  1.297  13.3  5 1 2

Atomic structure:
abc: 7.2418 7.2418 6.3703
angles: 90.00 90.00 90.00
Space group I4_1/amd (No. 141, origin choice 2)
Unique sites:
Tb: 0.0000 0.2500 0.3750 [4 per cell]
V: 0.0000 0.2500 0.8750 [4 per cell]
O: 0.0000 0.0659 0.6996 [16 per cell]